Entry 1:
For PrEr3Se6, the PBE geometry in Alexandria gives the theoretical powder diffractogram in this record (CuKα).
Neutral-atom scattering factors, no anomalous dispersion.

Lattice parameters (Å, degrees): 11.5766 4.1286 11.8633 90.00 109.15 90.00
Space group P2_1/m (No. 11)
Inequivalent atoms, fractional coordinates:
Pr 0.0482 0.2500 0.1964
Er 0.1593 0.2500 0.5864
Er 0.3194 0.7500 0.9999
Er 0.4400 0.2500 0.3338
Se 0.0834 0.7500 0.4068
Se 0.1188 0.2500 0.9656
Se 0.1981 0.7500 0.7501
Se 0.2637 0.7500 0.2274
Se 0.3929 0.2500 0.5584
Se 0.4800 0.2500 0.1138

Main lines, by angle (2θ from 15° to 90°):
3.954 Å, 22.49 deg, intensity 47; 3.862 Å, 23.03 deg, intensity 73; 3.528 Å, 25.24 deg, intensity 58; 3.004 Å, 29.74 deg, intensity 100; 2.911 Å, 30.71 deg, intensity 47; 2.770 Å, 32.32 deg, intensity 36; 2.733 Å, 32.77 deg, intensity 72; 2.238 Å, 40.31 deg, intensity 93; 2.152 Å, 41.97 deg, intensity 46; 2.065 Å, 43.84 deg, intensity 95



Entry 2:
For Hg2PbBr6, the PBE geometry in Alexandria gives the theoretical powder diffractogram in this record (CuKα).
Neutral-atom scattering factors, no anomalous dispersion.

Lattice parameters (Å, degrees): 14.0404 12.9705 7.5646 90.00 99.72 90.00
Space group C2/c (No. 15)
Inequivalent atoms, fractional coordinates:
Hg 0.1830 0.0827 0.3271
Pb 0.0000 0.3913 0.2500
Br 0.1180 0.4167 0.6288
Br 0.1262 0.2400 0.1116
Br 0.1287 0.0929 0.6457

Main lines, by angle (2θ from 15° to 90°):
4.346 Å, 20.43 deg, intensity 100; 4.222 Å, 21.04 deg, intensity 30; 3.802 Å, 23.40 deg, intensity 65; 3.690 Å, 24.12 deg, intensity 60; 3.537 Å, 25.18 deg, intensity 31; 3.080 Å, 28.99 deg, intensity 38; 2.178 Å, 41.46 deg, intensity 69; 2.162 Å, 41.79 deg, intensity 30; 2.140 Å, 42.24 deg, intensity 69; 2.129 Å, 42.46 deg, intensity 33



Entry 3:
For Ca4RhO6, the PBE geometry in Alexandria gives the theoretical powder diffractogram in this record (CuKα).
Neutral-atom scattering factors, no anomalous dispersion.

Lattice parameters (Å, degrees): 9.3855 9.3855 11.2509 90.00 90.00 120.00
Space group R-3c (No. 167, hexagonal axes)
Inequivalent atoms, fractional coordinates:
Ca 0.0000 0.0000 0.2500
Ca 0.0000 0.3632 0.2500
Rh 0.0000 0.0000 0.0000
O 0.0323 0.1920 0.3955

Main lines, by angle (2θ from 15° to 90°):
4.693 Å, 18.91 deg, intensity 73; 4.626 Å, 19.19 deg, intensity 61; 2.930 Å, 30.51 deg, intensity 30; 2.709 Å, 33.06 deg, intensity 100; 2.313 Å, 38.94 deg, intensity 37; 2.093 Å, 43.24 deg, intensity 24; 2.075 Å, 43.63 deg, intensity 63; 1.989 Å, 45.61 deg, intensity 39; 1.564 Å, 59.05 deg, intensity 18; 1.554 Å, 59.48 deg, intensity 28



Entry 4:
For Tb4Pm2Tm3, the PBE geometry in Alexandria gives the theoretical powder diffractogram in this record (CuKα).
Neutral-atom scattering factors, no anomalous dispersion.

Lattice parameters (Å, degrees): 16.1053 11.6249 6.1450 90.00 96.00 90.00
Space group C2/c (No. 15)
Inequivalent atoms, fractional coordinates:
Tb 0.0475 0.1409 0.0139
Tb 0.2151 0.3601 0.8475
Pm 0.1203 0.3556 0.3209
Tm 0.0000 0.4012 0.7500
Tm 0.1657 0.0984 0.5892

Main lines, by angle (2θ from 15° to 90°):
2.960 Å, 30.19 deg, intensity 63; 2.906 Å, 30.77 deg, intensity 47; 2.875 Å, 31.10 deg, intensity 60; 2.803 Å, 31.93 deg, intensity 100; 2.402 Å, 37.44 deg, intensity 33; 2.356 Å, 38.20 deg, intensity 28; 1.818 Å, 50.19 deg, intensity 14; 1.759 Å, 51.98 deg, intensity 13; 1.639 Å, 56.13 deg, intensity 21; 1.586 Å, 58.17 deg, intensity 13



Entry 5:
For Mn2Fe9N8, the PBE geometry in Alexandria gives the theoretical powder diffractogram in this record (CuKα).
Neutral-atom scattering factors, no anomalous dispersion.

Lattice parameters (Å, degrees): 17.3715 3.7728 6.0583 90.00 107.96 90.00
Space group C2/m (No. 12)
Inequivalent atoms, fractional coordinates:
Mn 0.1741 0.0000 0.1167
Fe 0.0000 0.5000 0.5000
Fe 0.0177 0.0000 0.7847
Fe 0.0735 0.5000 0.1619
Fe 0.1485 0.5000 0.7867
Fe 0.1988 0.0000 0.5553
N 0.0385 0.5000 0.8203
N 0.1011 0.0000 0.2809
N 0.1395 0.0000 0.7938
N 0.2311 0.5000 0.6480

Main lines, by angle (2θ from 15° to 90°):
2.954 Å, 30.25 deg, intensity 30; 2.754 Å, 32.51 deg, intensity 28; 2.559 Å, 35.07 deg, intensity 19; 2.488 Å, 36.10 deg, intensity 66; 2.326 Å, 38.71 deg, intensity 100; 2.144 Å, 42.14 deg, intensity 32; 2.112 Å, 42.83 deg, intensity 39; 1.921 Å, 47.32 deg, intensity 29; 1.886 Å, 48.24 deg, intensity 72; 1.737 Å, 52.71 deg, intensity 28



Entry 6:
For AcSm6Y6, the PBE geometry in Alexandria gives the theoretical powder diffractogram in this record (CuKα).
Neutral-atom scattering factors, no anomalous dispersion.

Lattice parameters (Å, degrees): 7.2133 11.3911 11.1809 90.00 90.00 90.00
Space group Cmmm (No. 65)
Inequivalent atoms, fractional coordinates:
Ac 0.0000 0.0000 0.0000
Sm 0.0000 0.0000 0.3383
Sm 0.0000 0.2579 0.5000
Sm 0.0000 0.3595 0.0000
Y 0.0000 0.5000 0.3077
Y 0.2500 0.2500 0.2270

Main lines, by angle (2θ from 15° to 90°):
3.607 Å, 24.68 deg, intensity 55; 3.360 Å, 26.53 deg, intensity 44; 3.119 Å, 28.62 deg, intensity 100; 3.047 Å, 29.31 deg, intensity 41; 3.031 Å, 29.47 deg, intensity 65; 2.880 Å, 31.05 deg, intensity 40; 2.848 Å, 31.41 deg, intensity 40; 2.675 Å, 33.49 deg, intensity 65; 2.592 Å, 34.61 deg, intensity 36; 2.359 Å, 38.15 deg, intensity 48



Entry 7:
For SiNiHgPH, the PBE geometry in Alexandria gives the theoretical powder diffractogram in this record (CuKα).
Neutral-atom scattering factors, no anomalous dispersion.

Lattice parameters (Å, degrees): 5.2949 2.7667 6.0705 90.00 100.77 90.00
Space group Pm (No. 6)
Inequivalent atoms, fractional coordinates:
Si 0.0000 0.0000 0.0000
Ni 0.6671 0.5000 0.8338
Hg 0.5870 0.0000 0.4423
P 0.4371 0.0000 0.0015
H 0.0198 0.0000 0.2532

Main lines, by angle (2θ from 15° to 90°):
5.202 Å, 17.05 deg, intensity 100; 4.342 Å, 20.45 deg, intensity 39; 2.982 Å, 29.97 deg, intensity 28; 2.601 Å, 34.48 deg, intensity 17; 2.510 Å, 35.78 deg, intensity 22; 2.401 Å, 37.46 deg, intensity 15; 2.333 Å, 38.59 deg, intensity 25; 2.194 Å, 41.14 deg, intensity 26; 2.028 Å, 44.68 deg, intensity 18; 1.986 Å, 45.69 deg, intensity 15



Entry 8:
For Nb5Ge2Sb, the PBE geometry in Alexandria gives the theoretical powder diffractogram in this record (CuKα).
Neutral-atom scattering factors, no anomalous dispersion.

Lattice parameters (Å, degrees): 6.8569 6.8569 12.1844 90.00 90.00 90.00
Space group I4/mcm (No. 140)
Inequivalent atoms, fractional coordinates:
Nb 0.0000 0.0000 0.0000
Nb 0.1575 0.3425 0.1473
Ge 0.1382 0.3618 0.5000
Sb 0.0000 0.0000 0.2500

Main lines, by angle (2θ from 15° to 90°):
2.579 Å, 34.78 deg, intensity 24; 2.447 Å, 36.72 deg, intensity 100; 2.424 Å, 37.08 deg, intensity 13; 2.277 Å, 39.58 deg, intensity 28; 2.168 Å, 41.65 deg, intensity 60; 1.539 Å, 60.12 deg, intensity 10; 1.533 Å, 60.37 deg, intensity 9; 1.428 Å, 65.37 deg, intensity 10; 1.246 Å, 76.42 deg, intensity 11; 1.215 Å, 78.77 deg, intensity 14



Entry 9:
For Pr3ZnCo, the PBE geometry in Alexandria gives the theoretical powder diffractogram in this record (CuKα).
Neutral-atom scattering factors, no anomalous dispersion.

Lattice parameters (Å, degrees): 3.8305 8.4338 8.5678 92.15 90.05 103.12
Space group P-1 (No. 2)
Inequivalent atoms, fractional coordinates:
Pr 0.0522 0.1050 0.3026
Pr 0.2452 0.4928 0.6994
Pr 0.3972 0.7941 0.0469
Zn 0.4034 0.8074 0.4221
Co 0.2203 0.4408 0.0574

Main lines, by angle (2θ from 15° to 90°):
3.022 Å, 29.56 deg, intensity 69; 2.968 Å, 30.11 deg, intensity 80; 2.925 Å, 30.56 deg, intensity 100; 2.854 Å, 31.35 deg, intensity 55; 2.800 Å, 31.96 deg, intensity 99; 2.734 Å, 32.76 deg, intensity 84; 2.493 Å, 36.03 deg, intensity 45; 2.276 Å, 39.59 deg, intensity 36; 1.915 Å, 47.47 deg, intensity 45; 1.664 Å, 55.21 deg, intensity 40



Entry 10:
For Tb3Er7Th, the PBE geometry in Alexandria gives the theoretical powder diffractogram in this record (CuKα).
Neutral-atom scattering factors, no anomalous dispersion.

Lattice parameters (Å, degrees): 6.9146 5.4547 9.9322 90.00 110.16 90.00
Space group P2/m (No. 10)
Inequivalent atoms, fractional coordinates:
Tb 0.0000 0.0000 0.0000
Tb 0.2790 0.5000 0.4960
Er 0.0000 0.0000 0.5000
Er 0.1568 0.5000 0.7904
Er 0.3137 0.5000 0.1396
Er 0.4214 0.0000 0.3296
Th 0.5000 0.0000 0.0000

Main lines, by angle (2θ from 15° to 90°):
3.540 Å, 25.16 deg, intensity 12; 2.812 Å, 31.83 deg, intensity 39; 2.786 Å, 32.12 deg, intensity 100; 2.772 Å, 32.29 deg, intensity 16; 2.727 Å, 32.84 deg, intensity 43; 2.700 Å, 33.18 deg, intensity 46; 1.946 Å, 46.69 deg, intensity 20; 1.586 Å, 58.17 deg, intensity 16; 1.569 Å, 58.84 deg, intensity 16; 1.459 Å, 63.78 deg, intensity 18



Entry 11:
For CaTePb2, the PBE geometry in Alexandria gives the theoretical powder diffractogram in this record (CuKα).
Neutral-atom scattering factors, no anomalous dispersion.

Lattice parameters (Å, degrees): 4.4084 4.6206 6.9845 70.77 71.74 89.99
Space group P-1 (No. 2)
Inequivalent atoms, fractional coordinates:
Ca 0.0000 0.0000 0.0000
Te 0.5000 0.5000 0.0000
Pb 0.2235 0.7226 0.5541

Main lines, by angle (2θ from 15° to 90°):
3.190 Å, 27.97 deg, intensity 13; 3.110 Å, 28.70 deg, intensity 25; 3.021 Å, 29.57 deg, intensity 15; 2.838 Å, 31.52 deg, intensity 100; 2.310 Å, 38.99 deg, intensity 15; 2.204 Å, 40.94 deg, intensity 13; 2.191 Å, 41.20 deg, intensity 12; 1.855 Å, 49.12 deg, intensity 11; 1.416 Å, 65.98 deg, intensity 12; 1.366 Å, 68.71 deg, intensity 11



Entry 12:
For Ag2HgBiSe4, the PBE geometry in Alexandria gives the theoretical powder diffractogram in this record (CuKα).
Neutral-atom scattering factors, no anomalous dispersion.

Lattice parameters (Å, degrees): 11.6131 11.6234 8.2194 90.00 134.62 90.00
Space group C2/c (No. 15)
Inequivalent atoms, fractional coordinates:
Ag 0.0000 0.0000 0.0000
Ag 0.2500 0.2500 0.0000
Hg 0.2500 0.2500 0.5000
Bi 0.0000 0.5000 0.0000
Se 0.0459 0.2438 0.0565
Se 0.2415 0.0228 0.9942

Main lines, by angle (2θ from 15° to 90°):
3.368 Å, 26.46 deg, intensity 20; 3.355 Å, 26.56 deg, intensity 17; 2.925 Å, 30.56 deg, intensity 49; 2.905 Å, 30.78 deg, intensity 100; 2.067 Å, 43.81 deg, intensity 16; 2.062 Å, 43.92 deg, intensity 34; 2.054 Å, 44.09 deg, intensity 55; 1.684 Å, 54.49 deg, intensity 16; 1.678 Å, 54.71 deg, intensity 19; 1.299 Å, 72.81 deg, intensity 14